# 1
Starting from a DFT-relaxed cell (PBE, the Materials Project), the powder X-ray diffraction pattern of Sn4SF6 was computed for λ = 1.5418 Å (Cu Kα).
Peak positions follow from Bragg's law for the DFT cell and can differ from measured ones.

Structural model:
a b c (Å): 6.0833 6.0833 6.0833
angles (deg): 93.41 93.41 93.41
Sites, in units of the cell vectors:
Sn 0.0000 0.0000 0.0000
Sn 0.4953 0.9897 0.4982
Sn 0.4982 0.4953 0.9897
Sn 0.9897 0.4982 0.4953
S 0.5703 0.5703 0.5703
F 0.0741 0.8197 0.6889
F 0.1011 0.3577 0.7930
F 0.3577 0.7930 0.1011
F 0.6889 0.0741 0.8197
F 0.7930 0.1011 0.3577
F 0.8197 0.6889 0.0741

Peak list (10 most intense, 15° ≤ 2θ ≤ 90°, in order of rising 2θ)
| two_theta | I (rel.) |
| --- | --- |
| 24.91 | 100 |
| 27.05 | 24 |
| 29.48 | 73 |
| 40.76 | 32 |
| 43.55 | 29 |
| 48.36 | 21 |
| 49.60 | 39 |
| 51.10 | 21 |
| 52.02 | 20 |
| 67.33 | 18 |



# 2
Starting from a DFT-relaxed cell (PBE, the Materials Project), the powder X-ray diffraction pattern of Mg3Si2H4O9 was computed for λ = 1.5418 Å (Cu Kα).
Peak positions follow from Bragg's law for the DFT cell and can differ from measured ones.

Structural model:
a b c (Å): 5.3714 5.3714 14.8071
angles (deg): 90.00 90.00 120.00
Sites, in units of the cell vectors:
Mg 0.0000 0.3313 0.0000
Mg 0.0000 0.6687 0.5000
Mg 0.3313 0.0000 0.0000
Mg 0.3313 0.3313 0.5000
Mg 0.6687 0.0000 0.5000
Mg 0.6687 0.6687 0.0000
Si 0.3333 0.6667 0.3097
Si 0.3333 0.6667 0.8097
Si 0.6667 0.3333 0.3097
Si 0.6667 0.3333 0.8097
H 0.0000 0.0000 0.3601
H 0.0000 0.0000 0.8601
H 0.0000 0.3512 0.6315
H 0.0000 0.6488 0.1315
H 0.3512 0.0000 0.6315
H 0.3512 0.3512 0.1315
H 0.6488 0.0000 0.1315
H 0.6488 0.6488 0.6315
O 0.0000 0.0000 0.4254
O 0.0000 0.0000 0.9254
O 0.0000 0.3361 0.5661
O 0.0000 0.4882 0.7683
O 0.0000 0.5118 0.2683
O 0.0000 0.6639 0.0661
O 0.3333 0.6667 0.4184
O 0.3333 0.6667 0.9184
O 0.3361 0.0000 0.5661
O 0.3361 0.3361 0.0661
O 0.4882 0.0000 0.7683
O 0.4882 0.4882 0.2683
O 0.5118 0.0000 0.2683
O 0.5118 0.5118 0.7683
O 0.6639 0.0000 0.0661
O 0.6639 0.6639 0.5661
O 0.6667 0.3333 0.4184
O 0.6667 0.3333 0.9184

Peak list (10 most intense, 15° ≤ 2θ ≤ 90°, in order of rising 2θ)
| two_theta | I (rel.) |
| --- | --- |
| 19.08 | 43 |
| 22.57 | 56 |
| 24.04 | 63 |
| 35.56 | 100 |
| 38.15 | 28 |
| 41.54 | 23 |
| 45.60 | 36 |
| 55.28 | 20 |
| 59.63 | 35 |
| 60.77 | 20 |